This entry pairs a crystal structure of Ca2Ga9Cu3 with its calculated XRD peak list. Radiation: Cu Kα X-rays. Structure: a structure optimized by DFT (GGA-PBE).
Lines closer than 0.1° are merged.

Structural model:
```
28
Lattice="6.559 -3.782 0.000 6.559 3.782 0.000 -4.441 0.000 10.060" Properties=species:S:1:pos:R:3 pbc="T T T"
Ca 1.078 0.635 2.512
Ca -1.142 -0.635 7.542
Ca 9.821 0.635 2.518
Ca 7.600 -0.635 7.548
Ga 5.457 3.133 0.701
Ga 5.442 3.133 4.329
Ga 1.071 0.620 5.728
Ga 4.079 1.415 2.524
Ga 1.040 0.618 9.469
Ga 3.291 -0.620 0.698
Ga 3.229 0.931 7.545
Ga 6.819 1.415 2.506
Ga 3.260 -0.618 4.439
Ga 5.418 0.618 5.621
Ga 1.859 -1.415 7.554
Ga 5.449 -0.931 2.515
Ga 5.387 0.620 9.362
Ga 7.638 -0.618 0.591
Ga 4.599 -1.415 7.536
Ga 7.607 -0.620 4.332
Ga 3.237 -3.133 5.731
Ga 3.221 -3.133 9.359
Cu 3.280 1.891 0.000
Cu 3.228 1.938 5.039
Cu 3.230 1.938 10.051
Cu 1.059 -1.891 5.030
Cu 5.448 -1.938 0.009
Cu 5.450 -1.938 5.021
```

Main lines, by intensity (10° ≤ 2θ ≤ 90°):
2theta, d [Å], intensity
41.3, 2.185, 100
35.8, 2.506, 87
35.7, 2.517, 67
45.2, 2.007, 32
45.3, 2.001, 32
17.6, 5.030, 23
71.7, 1.317, 14
71.9, 1.313, 14
89.8, 1.092, 13
39.3, 2.295, 12

---

This entry pairs a crystal structure of CaGaCu3 with its calculated XRD peak list. Radiation: Cu Kα X-rays. Structure: a structure optimized by DFT (GGA-PBE).
Lines closer than 0.1° are merged.

Structural model:
```
10
Lattice="-2.541 4.316 4.167 2.541 -4.316 4.167 2.541 4.316 -4.167" Properties=species:S:1:pos:R:3 pbc="T T T"
Ca 0.000 2.158 0.374
Ca 2.541 2.158 3.792
Ga 2.541 0.000 0.000
Ga 0.000 0.000 4.167
Cu 2.541 2.158 -1.386
Cu 1.271 4.165 -2.083
Cu 1.271 -0.151 2.083
Cu -1.271 4.467 2.083
Cu 1.271 4.467 2.083
Cu 0.000 2.158 5.553
```

Main lines, by intensity (10° ≤ 2θ ≤ 90°):
2theta, d [Å], intensity
46.9, 1.938, 100
42.6, 2.122, 89
14.8, 5.995, 87
41.9, 2.158, 78
41.6, 2.170, 75
29.6, 3.019, 59
29.2, 3.060, 56
48.5, 1.876, 53
41.2, 2.190, 50
20.6, 4.316, 48

---

This entry pairs a crystal structure of Ca8GaCu2 with its calculated XRD peak list. Radiation: Cu Kα X-rays. Structure: a structure optimized by DFT (GGA-PBE).
Lines closer than 0.1° are merged.

Structural model:
```
11
Lattice="4.595 -6.795 0.000 4.595 6.795 0.000 -1.548 0.000 5.577" Properties=species:S:1:pos:R:3 pbc="T T T"
Ca 0.000 0.000 0.000
Ca 0.637 1.762 3.368
Ca 3.105 3.175 1.051
Ca 0.637 -1.762 3.368
Ca 3.995 1.759 4.350
Ca 3.105 -3.175 1.051
Ca 3.995 -1.759 4.350
Ca 6.203 0.000 2.088
Ga 3.202 0.000 0.723
Cu 2.312 4.278 3.832
Cu 2.312 -4.278 3.832
```

Main lines, by intensity (10° ≤ 2θ ≤ 90°):
2theta, d [Å], intensity
30.8, 2.901, 100
31.0, 2.888, 94
36.3, 2.473, 84
28.9, 3.091, 80
37.0, 2.429, 66
33.2, 2.695, 54
31.6, 2.827, 38
20.6, 4.311, 37
32.1, 2.788, 36
20.1, 4.427, 31

---

This entry pairs a crystal structure of CaGaCu2 with its calculated XRD peak list. Radiation: Cu Kα X-rays. Structure: a structure optimized by DFT (GGA-PBE).
Lines closer than 0.1° are merged.

Structural model:
```
16
Lattice="7.350 0.000 0.000 0.000 6.696 0.000 0.000 0.000 5.872" Properties=species:S:1:pos:R:3 pbc="T T T"
Ca 0.172 1.674 0.860
Ca 3.503 5.022 3.796
Ca 3.847 1.674 2.075
Ca 7.178 5.022 5.011
Ga 0.990 5.022 2.034
Ga 2.685 1.674 4.970
Ga 4.665 5.022 0.901
Ga 6.360 1.674 3.837
Cu 1.226 0.407 3.393
Cu 1.226 2.941 3.393
Cu 2.449 3.754 0.458
Cu 2.449 6.289 0.458
Cu 4.901 0.407 5.414
Cu 4.901 2.941 5.414
Cu 6.124 3.754 2.478
Cu 6.124 6.289 2.478
```

Main lines, by intensity (10° ≤ 2θ ≤ 90°):
2theta, d [Å], intensity
39.9, 2.261, 100
35.6, 2.525, 98
19.3, 4.588, 78
39.5, 2.281, 78
45.2, 2.007, 74
42.8, 2.114, 70
47.7, 1.908, 53
20.1, 4.415, 45
31.7, 2.825, 32
36.3, 2.475, 27

---

This entry pairs a crystal structure of CaGa4Cu9 with its calculated XRD peak list. Radiation: Cu Kα X-rays. Structure: a structure optimized by DFT (GGA-PBE).
Lines closer than 0.1° are merged.

Structural model:
```
28
Lattice="-4.136 4.136 6.003 4.136 -4.136 6.003 4.136 4.136 -6.003" Properties=species:S:1:pos:R:3 pbc="T T T"
Ca 0.000 0.000 3.002
Ca 0.000 0.000 9.005
Ga 5.629 1.493 -1.464
Ga 1.493 2.643 -1.464
Ga 5.629 1.493 1.464
Ga 1.493 2.643 1.464
Ga 2.643 1.493 4.539
Ga -1.493 2.643 4.539
Ga 2.643 1.493 7.467
Ga -1.493 2.643 7.467
Cu 4.136 0.000 0.000
Cu 5.101 -0.965 2.148
Cu 1.675 0.520 0.000
Cu 3.616 -2.460 6.003
Cu 3.171 -0.965 3.855
Cu 3.171 0.965 2.148
Cu 3.616 2.460 0.000
Cu 1.675 -0.520 6.003
Cu 5.101 0.965 3.855
Cu 0.000 4.136 0.000
Cu -0.965 3.171 2.148
Cu 2.460 4.656 0.000
Cu 0.520 1.675 6.003
Cu 0.965 3.171 3.855
Cu 0.965 5.101 2.148
Cu 0.520 6.596 0.000
Cu 2.460 3.616 6.003
Cu -0.965 5.101 3.855
```

Main lines, by intensity (10° ≤ 2θ ≤ 90°):
2theta, d [Å], intensity
45.6, 1.990, 100
45.9, 1.979, 98
45.0, 2.014, 93
37.5, 2.398, 84
15.1, 5.849, 67
37.0, 2.429, 46
46.0, 1.972, 43
46.6, 1.950, 36
14.8, 6.003, 28
45.3, 2.001, 23

---

This entry pairs a crystal structure of Ca3Ga8Cu3 with its calculated XRD peak list. Radiation: Cu Kα X-rays. Structure: a structure optimized by DFT (GGA-PBE).
Lines closer than 0.1° are merged.

Structural model:
```
14
Lattice="-2.144 4.846 6.200 2.144 -4.846 6.200 2.144 4.846 -6.200" Properties=species:S:1:pos:R:3 pbc="T T T"
Ca 0.000 0.000 0.000
Ca 0.000 0.000 3.743
Ca 0.000 0.000 8.658
Ga 2.144 -1.342 1.950
Ga 2.144 -2.046 4.621
Ga 2.144 1.342 1.950
Ga 0.000 2.800 1.580
Ga 2.144 2.046 4.621
Ga 0.000 3.503 4.250
Ga 0.000 6.892 1.580
Ga 0.000 6.188 4.250
Cu 2.144 3.012 0.000
Cu 0.000 4.846 0.000
Cu 0.000 1.834 6.200
```

Main lines, by intensity (10° ≤ 2θ ≤ 90°):
2theta, d [Å], intensity
35.4, 2.536, 100
42.1, 2.145, 95
45.8, 1.983, 67
37.8, 2.382, 49
34.8, 2.580, 42
43.5, 2.080, 37
34.3, 2.612, 32
18.3, 4.846, 31
46.3, 1.962, 30
37.0, 2.432, 30

---

This entry pairs a crystal structure of CaGa3Cu6 with its calculated XRD peak list. Radiation: Cu Kα X-rays. Structure: a structure optimized by DFT (GGA-PBE).
Lines closer than 0.1° are merged.

Structural model:
```
20
Lattice="6.437 0.000 0.000 0.000 6.628 0.000 -4.143 0.000 7.120" Properties=species:S:1:pos:R:3 pbc="T T T"
Ca 0.000 0.000 0.000
Ca -2.072 3.314 3.560
Ga -0.167 1.035 2.985
Ga -2.239 2.279 6.545
Ga 3.219 0.000 0.000
Ga 1.147 3.314 3.560
Ga 4.533 4.349 0.575
Ga 2.461 5.593 4.135
Cu -1.827 0.198 4.790
Cu 0.245 3.116 1.230
Cu -2.122 4.673 6.232
Cu -0.051 5.270 2.672
Cu 2.103 1.396 1.874
Cu 0.032 1.918 5.434
Cu 2.262 4.710 1.686
Cu 0.191 5.232 5.246
Cu 2.345 1.358 4.449
Cu 4.416 1.956 0.889
Cu 2.049 3.512 5.890
Cu 4.121 6.430 2.330
```

Main lines, by intensity (10° ≤ 2θ ≤ 90°):
2theta, d [Å], intensity
40.1, 2.250, 100
45.6, 1.988, 79
45.0, 2.016, 55
42.6, 2.120, 55
42.1, 2.145, 53
40.4, 2.235, 45
43.5, 2.078, 38
42.9, 2.110, 38
19.7, 4.499, 36
46.5, 1.952, 29

---

This entry pairs a crystal structure of CaGa8Cu4 with its calculated XRD peak list. Radiation: Cu Kα X-rays. Structure: a structure optimized by DFT (GGA-PBE).
Lines closer than 0.1° are merged.

Structural model:
```
13
Lattice="-4.465 4.465 2.610 4.465 -4.465 2.610 4.465 4.465 -2.610" Properties=species:S:1:pos:R:3 pbc="T T T"
Ca 0.000 0.000 0.000
Ga 3.100 0.000 0.000
Ga 5.830 0.000 0.000
Ga 4.465 2.531 0.000
Ga 0.000 3.100 0.000
Ga 2.531 4.465 0.000
Ga 1.934 0.000 2.610
Ga 0.000 5.830 0.000
Ga 0.000 1.934 2.610
Cu 2.232 2.232 -1.305
Cu 2.232 -2.232 1.305
Cu -2.232 2.232 1.305
Cu 2.232 2.232 1.305
```

Main lines, by intensity (10° ≤ 2θ ≤ 90°):
2theta, d [Å], intensity
40.3, 2.235, 100
45.1, 2.011, 61
45.4, 1.998, 58
40.0, 2.253, 44
34.7, 2.586, 26
73.2, 1.293, 18
73.4, 1.290, 15
65.6, 1.424, 13
34.4, 2.610, 11
19.9, 4.465, 11

---

This entry pairs a crystal structure of Ca4GaCu with its calculated XRD peak list. Radiation: Cu Kα X-rays. Structure: a structure optimized by DFT (GGA-PBE).
Lines closer than 0.1° are merged.

Structural model:
```
12
Lattice="4.715 -7.035 0.000 4.715 7.035 0.000 -3.646 0.000 5.576" Properties=species:S:1:pos:R:3 pbc="T T T"
Ca 0.221 4.483 5.060
Ca 0.176 0.828 4.069
Ca 3.740 4.483 3.305
Ca 1.999 -0.828 1.281
Ca 3.785 0.828 4.295
Ca 2.044 -4.483 2.272
Ca 5.608 -0.828 1.507
Ca 5.563 -4.483 0.517
Ga 3.804 1.894 1.394
Ga 1.981 -1.894 4.182
Cu 1.981 6.996 4.182
Cu 3.804 -6.996 1.394
```

Main lines, by intensity (10° ≤ 2θ ≤ 90°):
2theta, d [Å], intensity
29.2, 3.056, 100
30.1, 2.973, 97
34.6, 2.589, 96
33.6, 2.669, 96
39.3, 2.295, 86
37.0, 2.430, 80
32.1, 2.787, 79
33.8, 2.651, 70
36.6, 2.452, 70
12.6, 7.035, 69

---

This entry pairs a crystal structure of Ca6Ga5Cu with its calculated XRD peak list. Radiation: Cu Kα X-rays. Structure: a structure optimized by DFT (GGA-PBE).
Lines closer than 0.1° are merged.

Structural model:
```
12
Lattice="5.143 0.000 0.000 0.000 7.392 0.000 -2.438 0.000 7.733" Properties=species:S:1:pos:R:3 pbc="T T T"
Ca 0.000 1.820 0.000
Ca 0.000 5.573 0.000
Ca 0.120 1.844 5.202
Ca 0.120 5.549 5.202
Ca 2.585 1.844 2.531
Ca 2.585 5.549 2.531
Ga -0.018 0.000 2.664
Ga 0.009 3.696 2.607
Ga 2.571 3.696 0.000
Ga 2.696 3.696 5.126
Ga 2.723 0.000 5.069
Cu 2.571 0.000 0.000
```

Main lines, by intensity (10° ≤ 2θ ≤ 90°):
2theta, d [Å], intensity
34.8, 2.581, 100
34.4, 2.605, 69
34.9, 2.571, 33
61.8, 1.501, 23
49.3, 1.848, 12
49.6, 1.836, 12
62.1, 1.495, 11
62.0, 1.498, 11
62.7, 1.482, 11
62.6, 1.485, 11

---

This entry pairs a crystal structure of Ca3Ga2Cu with its calculated XRD peak list. Radiation: Cu Kα X-rays. Structure: a structure optimized by DFT (GGA-PBE).
Lines closer than 0.1° are merged.

Structural model:
```
24
Lattice="12.169 0.000 0.000 0.000 4.361 0.000 0.000 0.000 11.706" Properties=species:S:1:pos:R:3 pbc="T T T"
Ca 0.647 1.090 1.427
Ca 1.385 3.270 6.616
Ca 2.532 1.090 9.459
Ca 3.553 3.270 3.606
Ca 4.699 1.090 0.762
Ca 5.437 3.270 7.281
Ca 6.732 1.090 4.426
Ca 7.470 3.270 10.944
Ca 8.616 1.090 8.100
Ca 9.637 3.270 2.247
Ca 10.784 1.090 5.091
Ca 11.522 3.270 10.279
Ga 0.438 3.270 3.616
Ga 2.487 3.270 0.084
Ga 3.597 1.090 5.937
Ga 5.646 1.090 9.470
Ga 6.523 3.270 2.237
Ga 8.572 3.270 5.769
Ga 9.682 1.090 11.622
Ga 11.731 1.090 8.090
Cu 1.535 1.090 4.399
Cu 4.549 3.270 10.253
Cu 7.620 1.090 1.454
Cu 10.634 3.270 7.307
```

Main lines, by intensity (10° ≤ 2θ ≤ 90°):
2theta, d [Å], intensity
33.8, 2.649, 100
41.4, 2.181, 81
30.7, 2.908, 74
37.8, 2.383, 59
36.8, 2.440, 49
39.3, 2.295, 48
16.4, 5.399, 47
39.9, 2.257, 47
10.5, 8.437, 44
21.1, 4.218, 41

---

This entry pairs a crystal structure of Ca2GaCu3 with its calculated XRD peak list. Radiation: Cu Kα X-rays. Structure: a structure optimized by DFT (GGA-PBE).
Lines closer than 0.1° are merged.

Structural model:
```
12
Lattice="0.000 4.284 7.461 3.845 0.000 7.461 3.845 4.284 0.000" Properties=species:S:1:pos:R:3 pbc="T T T"
Ca 5.809 4.284 7.461
Ca 1.923 2.142 3.730
Ca 5.768 6.426 11.191
Ca 1.882 4.284 7.461
Ga 3.845 4.284 4.979
Ga 3.845 4.284 9.942
Cu 3.845 4.284 2.489
Cu 3.845 2.146 6.220
Cu 3.845 2.146 8.701
Cu 3.845 6.422 6.220
Cu 3.845 6.422 8.701
Cu 3.845 4.284 12.432
```

Main lines, by intensity (10° ≤ 2θ ≤ 90°):
2theta, d [Å], intensity
33.5, 2.674, 100
42.0, 2.151, 46
23.1, 3.845, 32
65.1, 1.433, 23
42.2, 2.142, 23
48.5, 1.877, 18
47.3, 1.923, 16
54.9, 1.673, 15
65.2, 1.431, 11
48.7, 1.871, 9